[1]
For K4TiO4, a crystal structure in the Materials Project, relaxed with PBE gives the simulated X-ray diffraction stick pattern in this record (copper Kα).
Kinematic intensities with the Lorentz-polarization factor, no thermal factor.

Main lines, by angle (10° ≤ 2θ ≤ 90°):
2θ (°), d [Å], I (rel.)
25.84, 3.448, 41
27.18, 3.281, 100
28.55, 3.127, 58
29.97, 2.981, 69
31.76, 2.818, 90
38.18, 2.357, 53
41.09, 2.197, 30
48.81, 1.866, 37
53.15, 1.723, 24
54.62, 1.680, 23

Atomic structure:
abc: 6.8993 6.8993 7.4607
angles: 90.00 90.00 91.92
Fractional positions:
K 0.0455 0.6362 0.7500
K 0.3323 0.3323 0.0000
K 0.3323 0.3323 0.5000
K 0.3638 0.9545 0.7500
K 0.6362 0.0455 0.2500
K 0.6677 0.6677 0.0000
K 0.6677 0.6677 0.5000
K 0.9545 0.3638 0.2500
Ti 0.1737 0.8263 0.2500
Ti 0.8263 0.1737 0.7500
O 0.0906 0.2340 0.7500
O 0.2340 0.0906 0.2500
O 0.2842 0.7158 0.0465
O 0.2842 0.7158 0.4535
O 0.7158 0.2842 0.5465
O 0.7158 0.2842 0.9535
O 0.7660 0.9094 0.7500
O 0.9094 0.7660 0.2500

---

[2]
For Sr2LiH8O6, a crystal structure in the Materials Project, relaxed with PBE gives the simulated X-ray diffraction stick pattern in this record (copper Kα).
Kinematic intensities with the Lorentz-polarization factor, no thermal factor.

Main lines, by angle (10° ≤ 2θ ≤ 90°):
2θ (°), d [Å], I (rel.)
12.83, 6.901, 100
16.10, 5.505, 63
18.61, 4.769, 58
23.27, 3.822, 30
23.53, 3.781, 50
28.43, 3.140, 34
29.95, 2.984, 37
34.56, 2.596, 45
35.73, 2.513, 30
35.87, 2.504, 30

Atomic structure:
abc: 3.8222 6.9732 7.6399
angles: 98.23 90.03 90.24
Fractional positions:
Sr 0.0000 0.0000 0.0000
Sr 0.0042 0.7256 0.4573
Li 0.5097 0.0617 0.3733
H 0.2034 0.3070 0.3527
H 0.2140 0.5810 0.8346
H 0.4997 0.7181 0.1172
H 0.5012 0.2990 0.8944
H 0.5021 0.4249 0.5615
H 0.5035 0.0222 0.6832
H 0.7917 0.5803 0.8345
H 0.7958 0.3092 0.3517
O 0.0030 0.6535 0.7964
O 0.4987 0.8439 0.1943
O 0.5009 0.1593 0.9016
O 0.5009 0.4444 0.4361
O 0.5051 0.9325 0.5697
O 0.9979 0.2153 0.3081